SrLiI3: computed X-ray diffraction stick pattern (λ = 1.5418 Å (Cu Kα)), based on a PBE-relaxed structure.

```
SrLiI3
1.0
4.864 0.000 0.000
0.000 12.623 3.865
0.000 -12.623 3.865
Sr Li I
2 2 6
Direct
0.250 0.168 0.832 Sr
0.750 0.832 0.168 Sr
0.250 0.300 0.533 Li
0.750 0.533 0.300 Li
0.250 0.025 0.469 I
0.250 0.374 0.218 I
0.250 0.659 0.893 I
0.750 0.218 0.374 I
0.750 0.469 0.025 I
0.750 0.893 0.659 I
```

Principal peaks in the range 10 to 90 degrees two-theta, by intensity:
two_theta  d/Å  Rel. int.
24.1  3.698  100
27.3  3.268  29
40.3  2.240  25
23.0  3.863  25
32.8  2.729  23
41.1  2.198  21
31.4  2.846  20
37.0  2.432  16
21.1  4.220  16
49.3  1.849  14